The following is a calculated X-ray powder pattern of BaLaTiCrO6. It was derived from the GGA+U geometry in the Materials Project, using Cu Kα.

Most intense lines, 10° ≤ 2θ ≤ 80°, in order of rising 2θ:
2θ (°)  intensity  hkl
22.32  26  0 1 0
31.63  26  2 0 0
31.77  100  1 1 4
31.90  24  0 0 8
39.05  18  2 1 0
39.28  17  0 1 8
45.54  50  0 2 0
56.45  29  2 2 0
56.76  18  1 1 12
66.37  19  2 2 8

Crystal structure
Cell lengths 5.6573, 3.9840, 22.4418 Å; angles 90.00, 90.00, 90.00 degrees
Space group Pmma (No. 51)
Unique sites:
Ba  0.2500  0.0000  0.0640 (multiplicity 2)
Ba  0.2500  0.0000  0.8081 (multiplicity 2)
La  0.2500  0.0000  0.3195 (multiplicity 2)
La  0.2500  0.0000  0.5634 (multiplicity 2)
Ti  0.2500  0.5000  0.1929 (multiplicity 2)
Ti  0.2500  0.5000  0.9359 (multiplicity 2)
Cr  0.2500  0.5000  0.4391 (multiplicity 2)
Cr  0.2500  0.5000  0.6842 (multiplicity 2)
O  0.0000  0.5000  0.0000 (multiplicity 2)
O  0.0004  0.5000  0.3773 (multiplicity 4)
O  0.0000  0.5000  0.5000 (multiplicity 2)
O  0.0007  0.5000  0.8719 (multiplicity 4)
O  0.0143  0.5000  0.2562 (multiplicity 4)
O  0.2500  0.0000  0.1952 (multiplicity 2)
O  0.2500  0.0000  0.4359 (multiplicity 2)
O  0.2500  0.0000  0.6767 (multiplicity 2)
O  0.2500  0.0000  0.9363 (multiplicity 2)